(1)
Diffraction record for DyTh3. The XRD peak list is theoretical, not measured: it uses a structure optimized by DFT (GGA-PBE) and Cu Ka.

Largest 10 diffraction maxima, in order of falling intensity, 10° ≤ 2θ ≤ 80°:
2θ/deg  d [Å]  I (rel.)
30.78  2.905  100
35.69  2.516  51
61.09  1.517  44
51.36  1.779  37
64.12  1.452  13
75.60  1.258  6
17.63  5.031  2
25.03  3.558  1
40.07  2.250  1
44.09  2.054  1

Structure:
```
DyTh3
1.0
5.0313 0.0000 0.0000
0.0000 5.0313 0.0000
0.0000 0.0000 5.0313
Dy Th
1 3
Cartesian
0.0000 0.0000 0.0000
0.0000 2.5157 2.5157
2.5157 0.0000 2.5157
2.5157 2.5157 0.0000
```

(2)
Diffraction record for MnV2Fe. The XRD peak list is theoretical, not measured: it uses a structure optimized by DFT (GGA-PBE) and Cu Ka.

Largest 3 diffraction maxima, in order of falling intensity, 10° ≤ 2θ ≤ 80°:
2θ/deg  d [Å]  I (rel.)
44.54  2.034  100
64.82  1.438  15
31.09  2.877  1

Structure:
```
MnV2Fe
1.0
0.0000 2.8769 2.8769
2.8769 0.0000 2.8769
2.8769 2.8769 0.0000
Mn V Fe
1 2 1
Cartesian
0.0000 0.0000 0.0000
1.4384 1.4384 1.4384
4.3153 4.3153 4.3153
2.8769 2.8769 2.8769
```

(3)
Diffraction record for PmF3. The XRD peak list is theoretical, not measured: it uses a structure optimized by DFT (GGA-PBE) and Cu Ka.

Largest 10 diffraction maxima, in order of falling intensity, 10° ≤ 2θ ≤ 80°:
2θ/deg  d [Å]  I (rel.)
27.30  3.267  100
43.72  2.070  73
33.70  2.659  29
56.46  1.630  28
48.41  1.880  26
27.03  3.299  26
47.92  1.898  22
70.49  1.336  15
56.32  1.634  14
76.88  1.240  12

Structure:
```
PmF3
1.0
-1.8804 1.8804 3.2987
1.8804 -1.8804 3.2987
1.8804 1.8804 -3.2987
Pm F
1 3
Cartesian
0.0000 0.0000 0.0000
1.8804 0.0000 1.6494
0.0000 0.0000 3.2987
0.0000 1.8804 1.6494
```

(4)
Diffraction record for LaNb3O9. The XRD peak list is theoretical, not measured: it uses a structure optimized by DFT (GGA-PBE) and Cu Ka.

Largest 10 diffraction maxima, in order of falling intensity, 10° ≤ 2θ ≤ 80°:
2θ/deg  d [Å]  I (rel.)
31.64  2.828  100
31.80  2.814  53
11.02  8.027  50
22.33  3.981  45
45.59  1.990  41
56.56  1.627  40
24.96  3.568  35
66.08  1.414  22
56.24  1.636  21
45.11  2.010  20

Structure:
```
LaNb3O9
1.0
8.4480 -2.8117 0.0000
8.4480 2.8117 0.0000
-5.6338 0.0000 8.0399
La Nb O
2 6 18
Cartesian
0.0000 0.0000 0.0000
5.5299 0.0000 8.0341
-2.8333 0.0000 5.9009
2.8629 0.0000 2.0798
2.6760 0.0000 5.9574
8.3682 0.0000 2.1382
8.3625 0.0000 6.0294
14.0603 0.0000 2.0158
4.1243 1.4850 1.8618
1.4483 1.4843 6.1560
2.6577 0.0000 0.0014
7.0659 1.4640 1.8420
4.2073 1.4395 6.2269
2.7971 0.0000 4.0122
9.8144 1.3802 1.7946
6.9496 1.3419 6.1780
2.9276 0.0000 8.0140
4.1243 -1.4850 1.8618
1.4483 -1.4843 6.1560
8.4237 0.0000 4.0323
7.0659 -1.4640 1.8420
4.2073 -1.4395 6.2269
8.4061 0.0000 8.0284
9.8144 -1.3802 1.7946
6.9496 -1.3419 6.1780
14.0358 0.0000 3.9856
```

(5)
Diffraction record for Nd5Ge4. The XRD peak list is theoretical, not measured: it uses a structure optimized by DFT (GGA-PBE) and Cu Ka.

Largest 10 diffraction maxima, in order of falling intensity, 10° ≤ 2θ ≤ 80°:
2θ/deg  d [Å]  I (rel.)
30.50  2.931  100
34.46  2.603  51
35.83  2.506  48
32.37  2.766  45
32.55  2.751  39
30.64  2.918  38
31.64  2.828  38
35.34  2.540  34
36.16  2.484  28
35.66  2.518  26

Structure:
```
Nd5Ge4
1.0
7.9529 0.0000 0.0000
0.0000 15.2377 0.0000
0.0000 0.0000 8.0430
Nd Ge
20 16
Cartesian
0.1958 1.5638 1.4368
0.1958 6.0550 1.4368
0.9568 9.3663 2.7341
0.9568 13.4903 2.7341
1.7057 3.8094 4.0449
2.2707 11.4283 0.0234
3.0196 1.7474 6.7556
3.0196 5.8714 6.7556
3.7806 9.1827 5.4583
3.7806 13.6739 5.4583
4.1723 1.5638 2.5846
4.1723 6.0550 2.5846
4.9333 9.3663 1.2874
4.9333 13.4903 1.2874
5.6822 3.8094 8.0195
6.2472 11.4283 3.9980
6.9961 1.7474 5.3089
6.9961 5.8714 5.3089
7.7571 9.1827 6.6061
7.7571 13.6739 6.6061
0.7023 3.8094 7.1577
1.3868 11.4283 5.0924
1.7649 0.6842 4.2805
1.7649 6.9347 4.2805
2.2116 8.3031 0.2590
2.2116 14.5535 0.2590
2.5896 3.8094 1.0709
3.2742 11.4283 3.1362
4.6788 3.8094 4.9067
5.3633 11.4283 6.9720
5.7413 0.6842 7.7840
5.7413 6.9347 7.7840
6.1880 8.3031 3.7625
6.1880 14.5535 3.7625
6.5661 3.8094 2.9505
7.2506 11.4283 0.8852
```

(6)
Diffraction record for NaUBO5. The XRD peak list is theoretical, not measured: it uses a structure optimized by DFT (GGA-PBE) and Cu Ka.

Largest 10 diffraction maxima, in order of falling intensity, 10° ≤ 2θ ≤ 80°:
2θ/deg  d [Å]  I (rel.)
25.79  3.455  100
14.94  5.928  91
20.86  4.258  57
21.40  4.152  56
22.25  3.996  44
29.96  2.982  36
33.94  2.641  35
16.38  5.410  33
38.85  2.318  32
47.66  1.908  32

Structure:
```
NaUBO5
1.0
5.9279 0.0000 0.0000
0.0000 10.8206 0.0000
0.0000 0.0000 6.9011
Na U B O
4 4 4 20
Cartesian
0.6069 2.7051 0.0000
0.6069 2.7051 3.4506
5.3210 8.1154 0.0000
5.3210 8.1154 3.4506
2.3860 6.1418 1.7253
2.3860 10.0891 5.1758
3.5419 0.7315 1.7253
3.5419 4.6788 5.1758
1.8007 7.0186 5.1758
1.8007 9.2122 1.7253
4.1272 1.6084 5.1758
4.1272 3.8019 1.7253
0.9432 0.4117 5.1758
0.9432 4.9986 1.7253
1.1059 8.0250 1.7253
1.1059 8.2058 5.1758
2.0588 1.8528 1.7253
2.0588 3.5575 5.1758
2.2044 6.3689 4.0189
2.2044 6.3689 6.3327
2.2044 9.8619 0.5684
2.2044 9.8619 2.8822
3.7235 0.9586 4.0189
3.7235 0.9586 6.3327
3.7235 4.4516 0.5684
3.7235 4.4516 2.8822
3.8691 7.2630 1.7253
3.8691 8.9678 5.1758
4.8220 2.6148 1.7253
4.8220 2.7955 5.1758
4.9847 5.8220 5.1758
4.9847 10.4089 1.7253
```

(7)
Diffraction record for MnCdTe. The XRD peak list is theoretical, not measured: it uses a structure optimized by DFT (GGA-PBE) and Cu Ka.

Largest 10 diffraction maxima, in order of falling intensity, 10° ≤ 2θ ≤ 80°:
2θ/deg  d [Å]  I (rel.)
34.91  2.570  100
34.78  2.579  56
35.00  2.564  51
44.29  2.045  37
39.55  2.278  31
34.36  2.610  28
61.94  1.498  28
43.47  2.082  27
43.17  2.095  26
60.67  1.526  20

Structure:
```
MnCdTe
1.0
4.2122 -3.2888 0.0000
4.2122 3.2888 0.0000
-3.2191 0.0000 4.1091
Mn Cd Te
2 2 2
Cartesian
2.6026 3.2649 2.0545
4.2122 -3.2649 0.0000
0.9421 1.0719 2.4631
2.5517 -1.0719 0.4086
4.2620 1.1321 1.7406
2.6524 -1.1321 3.7952
```

(8)
Diffraction record for Rb2MgO2. The XRD peak list is theoretical, not measured: it uses a structure optimized by DFT (GGA-PBE) and Cu Ka.

Largest 10 diffraction maxima, in order of falling intensity, 10° ≤ 2θ ≤ 80°:
2θ/deg  d [Å]  I (rel.)
32.76  2.734  100
28.04  3.182  44
26.50  3.363  42
31.73  2.820  24
52.97  1.729  24
39.14  2.301  23
46.27  1.962  13
38.49  2.339  12
66.92  1.398  9
56.92  1.618  9

Structure:
```
Rb2MgO2
1.0
10.9318 0.0000 0.0000
0.0000 6.5283 0.0000
0.0000 0.0000 5.6365
Rb Mg O
8 4 8
Cartesian
1.7006 0.8992 0.3478
1.7006 5.6291 3.1661
3.7653 2.3650 3.1661
3.7653 4.1633 0.3478
7.1665 2.3650 5.2886
7.1665 4.1633 2.4704
9.2311 0.8992 2.4704
9.2311 5.6291 5.2886
0.0000 3.1809 4.2274
0.0000 3.3474 1.4091
5.4659 0.0833 1.4091
5.4659 6.4450 4.2274
0.9912 2.1834 2.7859
0.9912 4.3449 5.6041
4.4747 1.0807 5.6041
4.4747 5.4476 2.7859
6.4571 1.0807 2.8506
6.4571 5.4476 0.0324
9.9406 2.1834 0.0324
9.9406 4.3449 2.8506
```